Starting from a DFT-relaxed cell (GGA-PBE, Alexandria), the powder diffractogram of LiB2C2 was computed for λ = 1.5418 Å (Cu Kα).

Peak list (10 most intense, 2θ from 5° to 70°, in order of falling intensity)
- 24.31°, 3.662 Å, rel. 100
- 45.92°, 1.976 Å, rel. 29
- 49.80°, 1.831 Å, rel. 13
- 69.38°, 1.355 Å, rel. 12
- 38.37°, 2.346 Å, rel. 10
- 12.08°, 7.324 Å, rel. 10
- 46.02°, 1.972 Å, rel. 6
- 40.37°, 2.234 Å, rel. 2
- 16.35°, 5.421 Å, rel. 1
- 22.51°, 3.949 Å, rel. 1

Structure:
```
LiB2C2
1.0
4.690 0.000 0.000
0.000 5.421 0.000
-0.022 0.000 7.324
Li B C
4 8 8
Direct
0.000 0.000 0.000
0.000 0.000 0.500
0.500 0.255 0.000
0.500 0.745 0.000
0.164 0.253 0.759
0.164 0.747 0.759
0.333 0.500 0.250
0.337 0.000 0.246
0.663 0.000 0.754
0.667 0.500 0.750
0.836 0.253 0.241
0.836 0.747 0.241
0.171 0.249 0.244
0.171 0.751 0.244
0.325 0.000 0.763
0.332 0.500 0.761
0.668 0.500 0.239
0.675 0.000 0.237
0.829 0.249 0.756
0.829 0.751 0.756
```

***

Starting from a DFT-relaxed cell (GGA-PBE, Alexandria), the powder diffractogram of LiB2C2 was computed for λ = 1.5418 Å (Cu Kα).

Peak list (10 most intense, 2θ from 5° to 70°, in order of falling intensity)
- 24.27°, 3.667 Å, rel. 100
- 46.03°, 1.972 Å, rel. 22
- 49.73°, 1.833 Å, rel. 13
- 45.90°, 1.977 Å, rel. 12
- 69.43°, 1.354 Å, rel. 8
- 38.49°, 2.339 Å, rel. 7
- 69.74°, 1.348 Å, rel. 4
- 38.34°, 2.348 Å, rel. 4
- 20.44°, 4.345 Å, rel. 2
- 64.59°, 1.443 Å, rel. 2

Structure:
```
LiB2C2
1.0
4.696 0.000 0.000
0.000 5.394 0.000
0.000 0.000 7.334
Li B C
4 8 8
Direct
0.000 0.027 0.250
0.000 0.973 0.750
0.500 0.267 0.750
0.500 0.733 0.250
0.167 0.253 0.997
0.167 0.747 0.003
0.329 0.500 0.500
0.334 0.000 0.500
0.666 0.000 0.000
0.671 0.500 0.000
0.833 0.253 0.503
0.833 0.747 0.497
0.167 0.249 0.507
0.167 0.751 0.493
0.330 0.000 0.000
0.337 0.500 0.000
0.663 0.500 0.500
0.670 0.000 0.500
0.833 0.249 0.993
0.833 0.751 0.007
```

***

Starting from a DFT-relaxed cell (GGA-PBE, Alexandria), the powder diffractogram of Li5B8C8 was computed for λ = 1.5418 Å (Cu Kα).

Peak list (10 most intense, 2θ from 5° to 70°, in order of falling intensity)
- 24.86°, 3.582 Å, rel. 100
- 46.02°, 1.972 Å, rel. 22
- 46.20°, 1.965 Å, rel. 15
- 50.99°, 1.791 Å, rel. 15
- 69.22°, 1.357 Å, rel. 10
- 46.42°, 1.956 Å, rel. 7
- 38.19°, 2.357 Å, rel. 6
- 6.17°, 14.328 Å, rel. 5
- 68.92°, 1.362 Å, rel. 5
- 38.34°, 2.348 Å, rel. 4

Structure:
```
Li5B8C8
1.0
4.696 0.000 0.000
0.000 2.725 0.000
-0.119 0.000 14.328
Li B C
5 8 8
Direct
0.000 0.000 0.000
0.000 0.000 0.500
0.005 0.000 0.250
0.500 0.500 0.500
0.995 0.000 0.750
0.167 0.500 0.377
0.170 0.500 0.876
0.338 0.000 0.124
0.338 0.000 0.627
0.662 0.000 0.373
0.662 0.000 0.876
0.830 0.500 0.124
0.833 0.500 0.623
0.170 0.500 0.124
0.170 0.500 0.625
0.329 0.000 0.379
0.329 0.000 0.876
0.671 0.000 0.124
0.671 0.000 0.621
0.830 0.500 0.375
0.830 0.500 0.876
```

***

Starting from a DFT-relaxed cell (GGA-PBE, Alexandria), the powder diffractogram of Li5B8C8 was computed for λ = 1.5418 Å (Cu Kα).

Peak list (10 most intense, 2θ from 5° to 70°, in order of falling intensity)
- 24.55°, 3.626 Å, rel. 100
- 46.01°, 1.973 Å, rel. 29
- 12.21°, 7.252 Å, rel. 17
- 50.33°, 1.813 Å, rel. 15
- 45.87°, 1.978 Å, rel. 14
- 68.99°, 1.361 Å, rel. 10
- 38.28°, 2.351 Å, rel. 6
- 69.32°, 1.356 Å, rel. 5
- 38.12°, 2.361 Å, rel. 3
- 40.32°, 2.237 Å, rel. 2

Structure:
```
Li5B8C8
1.0
4.722 0.000 0.000
0.000 5.423 0.000
2.355 1.354 7.252
Li B C
5 8 8
Direct
0.000 0.000 0.000
0.249 0.625 0.500
0.250 0.125 0.500
0.750 0.875 0.500
0.751 0.375 0.500
0.210 0.437 0.250
0.210 0.937 0.253
0.294 0.315 0.745
0.294 0.812 0.745
0.706 0.188 0.255
0.706 0.685 0.255
0.790 0.063 0.747
0.790 0.563 0.750
0.037 0.185 0.257
0.037 0.686 0.257
0.462 0.065 0.741
0.466 0.566 0.738
0.534 0.434 0.262
0.538 0.935 0.259
0.963 0.314 0.743
0.963 0.815 0.743
```

***

Starting from a DFT-relaxed cell (GGA-PBE, Alexandria), the powder diffractogram of Li5B8C8 was computed for λ = 1.5418 Å (Cu Kα).

Peak list (10 most intense, 2θ from 5° to 70°, in order of falling intensity)
- 24.66°, 3.609 Å, rel. 100
- 45.92°, 1.976 Å, rel. 22
- 50.58°, 1.805 Å, rel. 15
- 46.12°, 1.968 Å, rel. 14
- 69.30°, 1.356 Å, rel. 10
- 46.37°, 1.958 Å, rel. 7
- 38.21°, 2.355 Å, rel. 6
- 68.97°, 1.362 Å, rel. 5
- 38.38°, 2.345 Å, rel. 4
- 18.92°, 4.691 Å, rel. 2

Structure:
```
Li5B8C8
1.0
7.219 -2.723 0.000
7.219 2.723 0.000
-0.044 0.000 4.691
Li B C
5 8 8
Direct
0.000 0.000 0.000
0.000 0.500 0.500
0.258 0.742 0.500
0.500 0.000 0.500
0.742 0.258 0.500
0.123 0.123 0.332
0.126 0.623 0.164
0.376 0.376 0.671
0.377 0.874 0.836
0.623 0.126 0.164
0.624 0.624 0.329
0.874 0.377 0.836
0.877 0.877 0.668
0.123 0.123 0.672
0.127 0.628 0.829
0.372 0.873 0.171
0.374 0.374 0.332
0.626 0.626 0.668
0.628 0.127 0.829
0.873 0.372 0.171
0.877 0.877 0.328
```

***

Starting from a DFT-relaxed cell (GGA-PBE, Alexandria), the powder diffractogram of Li5B6C6 was computed for λ = 1.5418 Å (Cu Kα).

Peak list (10 most intense, 2θ from 5° to 70°, in order of falling intensity)
- 24.76°, 3.596 Å, rel. 100
- 45.94°, 1.975 Å, rel. 28
- 46.04°, 1.971 Å, rel. 21
- 50.78°, 1.798 Å, rel. 19
- 68.66°, 1.367 Å, rel. 13
- 45.74°, 1.983 Å, rel. 10
- 69.04°, 1.360 Å, rel. 6
- 38.13°, 2.360 Å, rel. 6
- 12.31°, 7.192 Å, rel. 4
- 37.94°, 2.372 Å, rel. 2

Structure:
```
Li5B6C6
1.0
7.115 -1.360 0.000
7.115 1.360 0.000
-0.028 0.000 7.192
Li B C
5 6 6
Direct
0.000 0.000 0.000
0.333 0.333 0.004
0.345 0.345 0.504
0.655 0.655 0.496
0.667 0.667 0.996
0.111 0.111 0.242
0.221 0.221 0.747
0.446 0.446 0.250
0.554 0.554 0.750
0.779 0.779 0.253
0.889 0.889 0.758
0.112 0.112 0.750
0.221 0.221 0.250
0.445 0.445 0.763
0.555 0.555 0.237
0.779 0.779 0.750
0.888 0.888 0.250
```

***

Starting from a DFT-relaxed cell (GGA-PBE, Alexandria), the powder diffractogram of Li5B8C8 was computed for λ = 1.5418 Å (Cu Kα).

Peak list (10 most intense, 2θ from 5° to 70°, in order of falling intensity)
- 24.69°, 3.605 Å, rel. 100
- 46.05°, 1.971 Å, rel. 44
- 12.27°, 7.211 Å, rel. 16
- 69.13°, 1.359 Å, rel. 15
- 50.64°, 1.803 Å, rel. 15
- 38.24°, 2.354 Å, rel. 10
- 40.31°, 2.237 Å, rel. 3
- 54.56°, 1.682 Å, rel. 2
- 65.19°, 1.431 Å, rel. 2
- 22.56°, 3.942 Å, rel. 1

Structure:
```
Li5B8C8
1.0
5.435 0.000 0.000
-2.718 4.707 0.000
0.000 0.000 7.211
Li B C
5 8 8
Direct
0.000 0.000 0.000
0.000 0.000 0.500
0.000 0.500 0.000
0.500 0.000 0.000
0.500 0.500 0.000
0.167 0.335 0.755
0.167 0.833 0.755
0.333 0.667 0.256
0.335 0.167 0.245
0.665 0.833 0.755
0.667 0.333 0.744
0.833 0.167 0.245
0.833 0.665 0.245
0.166 0.333 0.244
0.166 0.834 0.244
0.333 0.166 0.756
0.333 0.667 0.767
0.667 0.333 0.233
0.667 0.834 0.244
0.834 0.166 0.756
0.834 0.667 0.756
```

***

Starting from a DFT-relaxed cell (GGA-PBE, Alexandria), the powder diffractogram of Li5B8C8 was computed for λ = 1.5418 Å (Cu Kα).

Peak list (10 most intense, 2θ from 5° to 70°, in order of falling intensity)
- 24.69°, 3.605 Å, rel. 100
- 45.94°, 1.976 Å, rel. 22
- 50.64°, 1.803 Å, rel. 15
- 46.14°, 1.967 Å, rel. 14
- 69.28°, 1.356 Å, rel. 10
- 46.37°, 1.958 Å, rel. 7
- 38.22°, 2.355 Å, rel. 6
- 68.99°, 1.361 Å, rel. 5
- 38.36°, 2.346 Å, rel. 4
- 18.91°, 4.693 Å, rel. 2

Structure:
```
Li5B8C8
1.0
4.693 0.000 0.000
0.000 5.445 0.000
-0.068 0.000 7.210
Li B C
5 8 8
Direct
0.000 0.000 0.000
0.500 0.250 0.500
0.500 0.258 0.000
0.500 0.742 0.000
0.500 0.750 0.500
0.164 0.251 0.749
0.164 0.749 0.749
0.329 0.500 0.247
0.332 0.000 0.245
0.668 0.000 0.755
0.671 0.500 0.753
0.836 0.251 0.251
0.836 0.749 0.251
0.172 0.250 0.244
0.172 0.750 0.244
0.327 0.000 0.754
0.331 0.500 0.748
0.669 0.500 0.252
0.673 0.000 0.246
0.828 0.250 0.756
0.828 0.750 0.756
```

***

What did the fourth record say?
Starting from a DFT-relaxed cell (GGA-PBE, Alexandria), the powder diffractogram of Li5B8C8 was computed for λ = 1.5418 Å (Cu Kα).

Peak list (10 most intense, 2θ from 5° to 70°, in order of falling intensity)
- 24.55°, 3.626 Å, rel. 100
- 46.01°, 1.973 Å, rel. 29
- 12.21°, 7.252 Å, rel. 17
- 50.33°, 1.813 Å, rel. 15
- 45.87°, 1.978 Å, rel. 14
- 68.99°, 1.361 Å, rel. 10
- 38.28°, 2.351 Å, rel. 6
- 69.32°, 1.356 Å, rel. 5
- 38.12°, 2.361 Å, rel. 3
- 40.32°, 2.237 Å, rel. 2

Structure:
```
Li5B8C8
1.0
4.722 0.000 0.000
0.000 5.423 0.000
2.355 1.354 7.252
Li B C
5 8 8
Direct
0.000 0.000 0.000
0.249 0.625 0.500
0.250 0.125 0.500
0.750 0.875 0.500
0.751 0.375 0.500
0.210 0.437 0.250
0.210 0.937 0.253
0.294 0.315 0.745
0.294 0.812 0.745
0.706 0.188 0.255
0.706 0.685 0.255
0.790 0.063 0.747
0.790 0.563 0.750
0.037 0.185 0.257
0.037 0.686 0.257
0.462 0.065 0.741
0.466 0.566 0.738
0.534 0.434 0.262
0.538 0.935 0.259
0.963 0.314 0.743
0.963 0.815 0.743
```

***

- Which formula does entry 2 have?
  LiB2C2